1.
Structure and simulated powder X-ray diffraction pattern of Eu2MgIrO6 (the GGA-PBE geometry in the Materials Project; Cu Kα (weighted mean of Kα1 and Kα2)).

Top 10 peaks for 2θ from 10° to 90°, by angle:
two_theta	d (Å)	intensity	(hkl)
19.27	4.606	23	0 1 1
19.81	4.481	21	1 0 -2
31.39	2.850	21	0 2 0
32.23	2.777	100	1 1 -3
32.75	2.735	25	2 0 -2
38.27	2.352	14	2 1 -1
45.99	1.973	21	2 2 -2
46.47	1.954	14	0 0 4
58.13	1.587	22	3 1 -1
67.45	1.389	12	2 2 2

Structure:
```
data_Eu2MgIrO6
_chemical_formula_sum 'Eu4 Mg2 Ir2 O12'
_space_group_name_H-M_alt 'P 1 21/c 1'
_space_group_IT_number 14
_cell_length_a 5.4694
_cell_length_b 5.7005
_cell_length_c 9.5401
_cell_angle_alpha 90.00
_cell_angle_beta 124.97
_cell_angle_gamma 90.00
loop_
_space_group_symop_operation_xyz
'x,y,z'
'-x,-y,-z'
'-x,y+1/2,-z+1/2'
'x,-y+1/2,z+1/2'
loop_
_atom_site_label
_atom_site_fract_x
_atom_site_fract_y
_atom_site_fract_z
Eu1 0.2334 0.0595 0.2483
Mg1 0.0000 0.0000 0.5000
Ir1 0.5000 0.0000 0.0000
O1 0.1603 0.1980 0.9547
O2 0.2566 0.7108 0.9503
O3 0.3450 0.0270 0.7542
```


2.
Structure and simulated powder X-ray diffraction pattern of EuIrO3 (the GGA-PBE geometry in the Materials Project; Cu Kα (weighted mean of Kα1 and Kα2)).

Top 9 peaks for 2θ from 10° to 90°, by angle:
two_theta	d (Å)	intensity	(hkl)
22.17	4.010	3	1 0 0
31.55	2.836	100	1 1 0
45.22	2.005	27	2 0 0
50.91	1.794	1	2 1 0
56.18	1.637	40	2 1 1
65.87	1.418	17	2 2 0
70.43	1.337	1	3 0 0
74.87	1.268	18	3 1 0
83.50	1.158	6	2 2 2

Structure:
```
data_EuIrO3
_chemical_formula_sum 'Eu1 Ir1 O3'
_space_group_name_H-M_alt 'P m -3 m'
_space_group_IT_number 221
_space_group_name_Hall '-P 4 2 3'
_cell_length_a 4.0105
_cell_length_b 4.0105
_cell_length_c 4.0105
_cell_angle_alpha 90.00
_cell_angle_beta 90.00
_cell_angle_gamma 90.00
loop_
_atom_site_label
_atom_site_fract_x
_atom_site_fract_y
_atom_site_fract_z
Eu1 0.0000 0.0000 0.0000
Ir1 0.5000 0.5000 0.5000
O1 0.0000 0.5000 0.5000
```


3.
Structure and simulated powder X-ray diffraction pattern of EuPIr (the GGA-PBE geometry in the Materials Project; Cu Kα (weighted mean of Kα1 and Kα2)).

Top 10 peaks for 2θ from 10° to 90°, by angle:
two_theta	d (Å)	intensity	(hkl)
31.79	2.815	100	2 0 1
34.92	2.569	69	2 1 1
43.12	2.098	13	2 2 1
47.94	1.898	14	3 1 1
54.56	1.682	49	3 2 1
58.68	1.573	11	4 0 0
60.67	1.526	11	4 0 1
64.54	1.444	14	3 3 1
68.30	1.373	16	4 1 2
82.55	1.169	15	5 2 0

Structure:
```
data_EuPIr
_chemical_formula_sum 'Eu4 P4 Ir4'
_space_group_name_H-M_alt 'P 21 3'
_space_group_IT_number 198
_space_group_name_Hall 'P 2ac 2ab 3'
_cell_length_a 6.2936
_cell_length_b 6.2936
_cell_length_c 6.2936
_cell_angle_alpha 90.00
_cell_angle_beta 90.00
_cell_angle_gamma 90.00
loop_
_atom_site_label
_atom_site_fract_x
_atom_site_fract_y
_atom_site_fract_z
Eu1 0.1130 0.1130 0.1130
P1 0.1661 0.3339 0.6661
Ir1 0.0889 0.5889 0.9111
```


4.
Structure and simulated powder X-ray diffraction pattern of EuSi3Ir (the GGA-PBE geometry in the Materials Project; Cu Kα (weighted mean of Kα1 and Kα2)).

Top 10 peaks for 2θ from 10° to 90°, by angle:
two_theta	d (Å)	intensity	(hkl)
17.81	4.980	22	0 0 2
22.72	3.913	49	1 0 1
29.69	3.009	62	1 1 0
34.26	2.618	100	1 0 3
34.84	2.575	42	1 1 2
42.48	2.128	44	2 0 0
50.59	1.804	19	1 0 5
55.67	1.651	50	2 1 3
64.06	1.453	17	1 1 6
68.14	1.376	16	2 1 5

Structure:
```
data_EuSi3Ir
_chemical_formula_sum 'Eu2 Si6 Ir2'
_space_group_name_H-M_alt 'I 4 m m'
_space_group_IT_number 107
_space_group_name_Hall 'I 4 -2'
_cell_length_a 4.2555
_cell_length_b 4.2555
_cell_length_c 9.9599
_cell_angle_alpha 90.00
_cell_angle_beta 90.00
_cell_angle_gamma 90.00
loop_
_atom_site_label
_atom_site_fract_x
_atom_site_fract_y
_atom_site_fract_z
Eu1 0.0000 0.0000 0.0000
Si1 0.0000 0.0000 0.4139
Si2 0.0000 0.5000 0.2631
Ir1 0.0000 0.0000 0.6535
```


5.
Structure and simulated powder X-ray diffraction pattern of Eu2ZnIr (the GGA-PBE geometry in the Materials Project; Cu Kα (weighted mean of Kα1 and Kα2)).

Top 10 peaks for 2θ from 10° to 90°, by angle:
two_theta	d (Å)	intensity	(hkl)
21.46	4.140	10	1 1 1
35.40	2.536	100	2 2 0
41.77	2.162	5	3 1 1
50.93	1.793	18	4 0 0
55.88	1.645	2	3 3 1
63.56	1.464	36	4 2 2
67.91	1.380	2	5 1 1
74.90	1.268	11	4 4 0
78.98	1.212	2	5 3 1
85.67	1.134	16	6 2 0

Structure:
```
data_Eu2ZnIr
_chemical_formula_sum 'Eu8 Zn4 Ir4'
_space_group_name_H-M_alt 'F m -3 m'
_space_group_IT_number 225
_space_group_name_Hall '-F 4 2 3'
_cell_length_a 7.1715
_cell_length_b 7.1715
_cell_length_c 7.1715
_cell_angle_alpha 90.00
_cell_angle_beta 90.00
_cell_angle_gamma 90.00
loop_
_atom_site_label
_atom_site_fract_x
_atom_site_fract_y
_atom_site_fract_z
Eu1 0.2500 0.2500 0.2500
Zn1 0.0000 0.0000 0.0000
Ir1 0.0000 0.0000 0.5000
```


6.
Structure and simulated powder X-ray diffraction pattern of K2Na2Eu4Ta2O13 (the GGA-PBE geometry in the Materials Project; Cu Kα (weighted mean of Kα1 and Kα2)).

Top 10 peaks for 2θ from 10° to 90°, by angle:
two_theta	d (Å)	intensity	(hkl)
17.74	5.000	27	4 0 -2
19.70	4.506	27	3 1 0
25.08	3.551	24	1 1 2
25.39	3.508	20	5 1 -2
29.90	2.988	100	3 1 2
30.34	2.946	94	7 1 -2
31.25	2.863	31	0 2 0
31.51	2.839	37	4 0 -4
44.97	2.016	41	4 2 -4
54.81	1.675	30	1 1 -6

Structure:
```
data_K2Na2Eu4Ta2O13
_chemical_formula_sum 'K8 Na8 Eu16 Ta8 O52'
_space_group_name_H-M_alt 'C 1 2/c 1'
_space_group_IT_number 15
_cell_length_a 24.4794
_cell_length_b 5.7251
_cell_length_c 11.3589
_cell_angle_alpha 90.00
_cell_angle_beta 116.48
_cell_angle_gamma 90.00
loop_
_space_group_symop_operation_xyz
'x,y,z'
'-x,-y,-z'
'-x,y,-z+1/2'
'x,-y,z+1/2'
'x+1/2,y+1/2,z'
'-x+1/2,-y+1/2,-z'
'-x+1/2,y+1/2,-z+1/2'
'x+1/2,-y+1/2,z+1/2'
loop_
_atom_site_label
_atom_site_fract_x
_atom_site_fract_y
_atom_site_fract_z
K1 0.2494 0.0512 0.1328
Na1 0.1590 0.4629 0.5237
Eu1 0.0628 0.0416 0.9480
Eu2 0.0625 0.4666 0.6745
Ta1 0.1501 0.0331 0.2807
O1 0.0000 0.2580 0.7500
O2 0.0009 0.2511 0.4789
O3 0.1014 0.2295 0.3405
O4 0.1298 0.1886 0.6375
O5 0.1316 0.2753 0.1421
O6 0.1342 0.2253 0.8761
O7 0.2344 0.0621 0.3747
```


Which formula does entry 5 have?
Eu2ZnIr